MgMn4O8: theoretical powder X-ray diffraction pattern (Cu Kα (λ = 1.5418 Å)), based on a DFT-relaxed cell (PBE+U, the Materials Project).
No peak broadening, texture or thermal motion is included.

```
MgMn4O8
1.0
5.3121 0.0000 0.0000
0.0000 2.9234 0.0000
-0.3009 0.0000 9.2895
Mg Mn O
1 4 8
direct
0.0000 0.0000 0.0000
0.1487 0.5000 0.5633
0.5075 0.5000 0.0774
0.6339 0.0000 0.7691
0.9955 0.0000 0.3006
0.0030 0.0000 0.6636
0.1315 0.5000 0.1771
0.2678 0.0000 0.4393
0.3612 0.0000 0.9631
0.4685 0.5000 0.6715
0.7104 0.0000 0.1595
0.7970 0.5000 0.8951
0.8750 0.5000 0.4137
```

Principal peaks in the range 10 to 90 degrees two-theta, sorted by position:
(1 0 -1), 18.98°, rel. 100.0; (1 0 1), 19.52°, rel. 60.0; (1 0 -2), 25.06°, rel. 50.8; (1 0 -3), 33.01°, rel. 31.5; (1 0 3), 33.99°, rel. 38.0; (0 1 2), 36.29°, rel. 77.6; (1 1 1), 36.54°, rel. 23.7; (1 1 -3), 45.62°, rel. 22.3; (2 1 -3), 54.72°, rel. 27.5; (3 1 0), 61.20°, rel. 53.9

***

CrO3: theoretical powder X-ray diffraction pattern (Cu Kα (λ = 1.5418 Å)), based on a DFT-relaxed cell (PBE+U, the Materials Project).
No peak broadening, texture or thermal motion is included.

```
CrO3
1.0
5.7030 0.0000 0.0000
-2.8515 4.9389 0.0000
0.0000 0.0000 11.0702
Cr O
6 18
direct
0.0000 0.3439 0.0000
0.0000 0.6561 0.5000
0.3439 0.0000 0.0000
0.3439 0.3439 0.5000
0.6561 0.0000 0.5000
0.6561 0.6561 0.0000
0.0000 0.0000 0.4516
0.0000 0.0000 0.9516
0.0000 0.2187 0.1430
0.0000 0.3710 0.8541
0.0000 0.6290 0.3541
0.0000 0.7813 0.6430
0.2187 0.0000 0.1430
0.2187 0.2187 0.6430
0.3333 0.6667 0.0308
0.3333 0.6667 0.5308
0.3710 0.0000 0.8541
0.3710 0.3710 0.3541
0.6290 0.0000 0.3541
0.6290 0.6290 0.8541
0.6667 0.3333 0.0308
0.6667 0.3333 0.5308
0.7813 0.0000 0.6430
0.7813 0.7813 0.1430
```

Principal peaks in the range 10 to 90 degrees two-theta, sorted by position:
(0 0 2), 16.01°, rel. 96.5; (1 1 1), 32.42°, rel. 100.0; (1 1 3), 39.96°, rel. 12.9; (0 0 6), 49.40°, rel. 7.2; (1 1 5), 52.31°, rel. 11.0; (3 0 0), 55.84°, rel. 14.9; (3 0 2), 58.49°, rel. 16.5; (3 0 4), 66.05°, rel. 13.8; (0 0 8), 67.75°, rel. 12.1; (3 0 6), 77.75°, rel. 6.9

***

Li2Ti3CoO8: theoretical powder X-ray diffraction pattern (Cu Kα (λ = 1.5418 Å)), based on a DFT-relaxed cell (PBE+U, the Materials Project).
No peak broadening, texture or thermal motion is included.

```
Li2Ti3CoO8
1.0
8.4446 0.0000 0.0000
0.0000 8.4446 0.0000
0.0000 0.0000 8.4446
Li Ti Co O
8 12 4 32
direct
0.0023 0.4977 0.5023
0.1243 0.8757 0.3757
0.3757 0.1243 0.8757
0.4977 0.5023 0.0023
0.5023 0.0023 0.4977
0.6243 0.6243 0.6243
0.8757 0.3757 0.1243
0.9977 0.9977 0.9977
0.1201 0.6276 0.1350
0.1276 0.3650 0.8799
0.1350 0.1201 0.6276
0.3650 0.8799 0.1276
0.3724 0.6350 0.3799
0.3799 0.3724 0.6350
0.6201 0.8724 0.8650
0.6276 0.1350 0.1201
0.6350 0.3799 0.3724
0.8650 0.6201 0.8724
0.8724 0.8650 0.6201
0.8799 0.1276 0.3650
0.2475 0.7475 0.7525
0.2525 0.2525 0.2525
0.7475 0.7525 0.2475
0.7525 0.2475 0.7475
0.1075 0.1280 0.3896
0.1104 0.8925 0.6280
0.1119 0.6119 0.8881
0.1232 0.1439 0.8588
0.1280 0.3896 0.1075
0.1393 0.3607 0.6393
0.1412 0.6232 0.3561
0.1439 0.8588 0.1232
0.3561 0.1412 0.6232
0.3588 0.3768 0.8561
0.3607 0.6393 0.1393
0.3720 0.6104 0.6075
0.3768 0.8561 0.3588
0.3881 0.3881 0.3881
0.3896 0.1075 0.1280
0.3925 0.8720 0.8896
0.6075 0.3720 0.6104
0.6104 0.6075 0.3720
0.6119 0.8881 0.1119
0.6232 0.3561 0.1412
0.6280 0.1104 0.8925
0.6393 0.1393 0.3607
0.6412 0.8768 0.6439
0.6439 0.6412 0.8768
0.8561 0.3588 0.3768
0.8588 0.1232 0.1439
0.8607 0.8607 0.8607
0.8720 0.8896 0.3925
0.8768 0.6439 0.6412
0.8881 0.1119 0.6119
0.8896 0.3925 0.8720
0.8925 0.6280 0.1104
```

Principal peaks in the range 10 to 90 degrees two-theta, sorted by position:
(1 1 0), 14.84°, rel. 14.5; (1 1 1), 18.20°, rel. 38.6; (2 0 0), 21.04°, rel. 25.2; (2 0 1), 23.56°, rel. 20.7; (2 2 0), 29.93°, rel. 25.1; (3 1 1), 35.25°, rel. 100.0; (4 0 0), 42.84°, rel. 36.0; (5 1 1), 56.64°, rel. 40.0; (4 4 0), 62.19°, rel. 53.1; (5 5 3), 89.05°, rel. 15.1

***

Mn2OF3: theoretical powder X-ray diffraction pattern (Cu Kα (λ = 1.5418 Å)), based on a DFT-relaxed cell (PBE+U, the Materials Project).
No peak broadening, texture or thermal motion is included.

```
Mn2OF3
1.0
4.7944 0.0000 0.0000
0.0654 5.7387 0.0000
0.2154 2.6183 13.5743
Mn O F
10 5 15
direct
0.0000 0.0000 0.0000
0.0020 0.8012 0.5997
0.0403 0.1982 0.4115
0.4683 0.8987 0.8138
0.4880 0.4955 0.0014
0.5050 0.2986 0.5989
0.5225 0.7076 0.3902
0.5439 0.0887 0.1904
0.9678 0.4012 0.7855
0.9875 0.6043 0.2031
0.2069 0.0987 0.5486
0.2885 0.8052 0.9504
0.7001 0.1914 0.0556
0.7107 0.7775 0.2565
0.8015 0.5005 0.6489
0.1829 0.9158 0.1393
0.1931 0.3146 0.9309
0.1930 0.7227 0.7344
0.1966 0.5290 0.3382
0.2948 0.4155 0.1448
0.3029 0.6181 0.5298
0.3170 0.2307 0.7378
0.3233 0.0328 0.3277
0.6884 0.5745 0.8647
0.6903 0.3724 0.4598
0.7032 0.9828 0.6693
0.7988 0.6823 0.0641
0.8134 0.0716 0.8617
0.8137 0.8786 0.4635
0.8172 0.2860 0.2681
```

Principal peaks in the range 10 to 90 degrees two-theta, sorted by position:
(1 1 2), 26.03°, rel. 100.0; (-1 1 2), 26.48°, rel. 94.2; (0 0 5), 32.99°, rel. 24.0; (1 -1 3), 33.29°, rel. 26.1; (1 1 -3), 33.45°, rel. 24.1; (0 2 -1), 33.69°, rel. 26.9; (2 2 -1), 51.17°, rel. 29.5; (2 2 4), 53.54°, rel. 17.7; (-2 2 4), 54.54°, rel. 16.8; (0 2 -6), 56.81°, rel. 19.9